# 1
The following is a computed powder XRD pattern of AgH6PtAu. It was derived from a cell relaxed with GGA-PBE, using Cu Kα (λ = 1.5418 Å).

Largest 10 diffraction maxima, by angle, 2θ from 10° to 90°:
2θ (°)  I/Imax
22.2  41
36.6  100
43.2  22
52.7  18
57.9  10
65.9  36
70.4  7
77.8  12
82.1  7
89.2  17

Cell and atoms:
a b c (Å): 4.9109 4.9109 4.9109
angles (deg): 60.00 60.00 60.00
Positions (direct):
Ag 0.0000 0.0000 0.0000
H 0.5084 0.5084 0.9916
H 0.5084 0.9916 0.5084
H 0.5084 0.9916 0.9916
H 0.9916 0.5084 0.5084
H 0.9916 0.5084 0.9916
H 0.9916 0.9916 0.5084
Pt 0.7500 0.7500 0.7500
Au 0.5000 0.5000 0.5000

=====

# 2
The following is a computed powder XRD pattern of Nd3AgHg3PtAu. It was derived from a cell relaxed with GGA-PBE, using Cu Kα (λ = 1.5418 Å).

Largest 10 diffraction maxima, by angle, 2θ from 10° to 90°:
2θ (°)  I/Imax
32.1  100
34.1  55
34.6  81
38.8  53
41.5  36
46.9  24
59.2  23
62.4  26
63.0  39
80.8  14

Cell and atoms:
a b c (Å): 8.0337 8.0337 3.8775
angles (deg): 90.00 90.00 120.00
Positions (direct):
Nd 0.0138 0.4147 0.0000
Nd 0.4008 0.9862 0.0000
Nd 0.5853 0.5992 0.0000
Ag 0.0000 0.0000 0.0000
Hg 0.2672 0.2656 0.5000
Hg 0.7344 0.0015 0.5000
Hg 0.9985 0.7328 0.5000
Pt 0.3333 0.6667 0.5000
Au 0.6667 0.3333 0.5000

=====

# 3
The following is a computed powder XRD pattern of Tb3Ag2Hg3Au. It was derived from a cell relaxed with GGA-PBE, using Cu Kα (λ = 1.5418 Å).

Largest 10 diffraction maxima, by angle, 2θ from 10° to 90°:
2θ (°)  I/Imax
32.5  100
34.5  30
35.1  59
39.4  58
42.0  27
47.4  19
60.0  12
63.2  29
63.9  32
78.6  12

Cell and atoms:
a b c (Å): 7.9312 7.9312 3.8363
angles (deg): 90.00 90.00 120.00
Positions (direct):
Tb 0.0000 0.6108 0.0000
Tb 0.3892 0.3892 0.0000
Tb 0.6108 0.0000 0.0000
Ag 0.3333 0.6667 0.5000
Ag 0.6667 0.3333 0.5000
Hg 0.0000 0.2794 0.5000
Hg 0.2794 0.0000 0.5000
Hg 0.7206 0.7206 0.5000
Au 0.0000 0.0000 0.0000